Record 1
Theoretical powder diffractogram of Sr8Cd2Au3 for λ = 1.5418 Å (Cu Kα), from the GGA-PBE geometry in Alexandria.
Neutral-atom scattering factors, no anomalous dispersion.

Main lines, low angle first (2θ = 10–90°):
2θ 11.18, rel. 17
2θ 19.43, rel. 11
2θ 19.53, rel. 11
2θ 32.04, rel. 100
2θ 32.25, rel. 20
2θ 37.74, rel. 8
2θ 45.87, rel. 7
2θ 46.06, rel. 15
2θ 57.04, rel. 22
2θ 57.18, rel. 7
2θ 57.38, rel. 15
2θ 67.03, rel. 9

Cell and atoms:
```
Sr8Cd2Au3
1.0
5.596 -7.913 0.000
5.596 7.913 0.000
0.000 0.000 5.552
Sr Cd Au
8 2 3
direct
0.116 0.884 0.000
0.126 0.363 0.500
0.363 0.126 0.500
0.380 0.620 0.000
0.620 0.380 0.000
0.637 0.874 0.500
0.874 0.637 0.500
0.884 0.116 0.000
0.255 0.745 0.500
0.745 0.255 0.500
0.000 0.000 0.500
0.261 0.261 0.000
0.739 0.739 0.000
```

***

Record 2
Theoretical powder diffractogram of Sc4HgGeO for λ = 1.5418 Å (Cu Kα), from the GGA-PBE geometry in Alexandria.
Neutral-atom scattering factors, no anomalous dispersion.

Main lines, low angle first (2θ = 10–90°):
2θ 15.89, rel. 28
2θ 19.01, rel. 30
2θ 21.72, rel. 40
2θ 27.69, rel. 47
2θ 29.66, rel. 63
2θ 32.10, rel. 34
2θ 36.49, rel. 23
2θ 38.58, rel. 100
2θ 42.45, rel. 61
2θ 48.14, rel. 31
2θ 57.20, rel. 23
2θ 75.08, rel. 28

Cell and atoms:
```
Sc4HgGeO
1.0
3.012 -7.386 0.000
3.012 7.386 0.000
0.000 0.000 6.022
Sc Hg Ge O
8 2 2 2
direct
0.000 0.500 0.000
0.000 0.500 0.500
0.079 0.921 0.750
0.419 0.581 0.750
0.500 0.000 0.000
0.500 0.000 0.500
0.581 0.419 0.250
0.921 0.079 0.250
0.389 0.611 0.250
0.611 0.389 0.750
0.113 0.887 0.250
0.887 0.113 0.750
0.250 0.750 0.750
0.750 0.250 0.250
```

***

Record 3
Theoretical powder diffractogram of Ca2P4PdO8 for λ = 1.5418 Å (Cu Kα), from the GGA-PBE geometry in Alexandria.
Neutral-atom scattering factors, no anomalous dispersion.

Main lines, low angle first (2θ = 10–90°):
2θ 10.91, rel. 21
2θ 17.39, rel. 19
2θ 19.33, rel. 100
2θ 21.76, rel. 22
2θ 29.51, rel. 8
2θ 32.02, rel. 19
2θ 35.21, rel. 11
2θ 35.52, rel. 10
2θ 38.07, rel. 8
2θ 39.23, rel. 12
2θ 43.04, rel. 9
2θ 51.36, rel. 13

Cell and atoms:
```
Ca2P4PdO8
1.0
-4.727 4.727 7.882
4.727 -4.727 7.882
4.727 4.727 -7.882
Ca P Pd O
4 8 2 16
direct
0.000 0.000 0.000
0.000 0.000 0.500
0.000 0.500 0.000
0.500 0.000 0.500
0.200 0.679 0.521
0.321 0.341 0.521
0.321 0.800 0.979
0.341 0.321 0.021
0.659 0.679 0.979
0.679 0.200 0.021
0.679 0.659 0.479
0.800 0.321 0.479
0.375 0.625 0.750
0.625 0.375 0.250
0.123 0.558 0.299
0.123 0.824 0.564
0.176 0.241 0.299
0.176 0.877 0.936
0.241 0.176 0.799
0.241 0.442 0.064
0.442 0.241 0.564
0.442 0.877 0.201
0.558 0.123 0.799
0.558 0.759 0.436
0.759 0.558 0.936
0.759 0.824 0.201
0.824 0.123 0.064
0.824 0.759 0.701
0.877 0.176 0.436
0.877 0.442 0.701
```